Structure and calculated powder X-ray diffraction pattern of Na2MnPCO7 (the PBE+U geometry in the Materials Project; Cu Kα, 1.54184 Å).
Lines closer than 0.1° are merged.

Principal peaks in the range 10 to 90 degrees two-theta, by intensity:
| 2theta | I_rel | hkl |
| --- | --- | --- |
| 26.37 | 100 | 2 -2 0 |
| 34.70 | 71 | 2 2 0 |
| 33.15 | 67 | -2 2 2 |
| 26.08 | 62 | 1 1 -2 |
| 16.55 | 37 | 1 -1 1 |
| 16.40 | 35 | -1 1 1 |
| 54.29 | 34 | 4 -4 0 |
| 19.63 | 30 | 1 1 -1 |
| 33.02 | 27 | 1 -3 1 |
| 20.10 | 27 | 1 1 1 |
| 34.48 | 26 | 1 1 -3 |
| 24.22 | 25 | 2 0 1 |

Atomic structure:
Unit cell a=8.4692 b=8.5548 c=8.8936 alpha=90.51 beta=91.35 gamma=105.15
Space group P1 (No. 1)
One atom of each set of equivalent atoms:
Na (0.0000, 0.0000, 0.0000) x1
Na (0.0055, 0.5167, 0.4939) x1
Na (0.1451, 0.3770, 0.8363) x1
Na (0.2741, 0.2505, 0.4944) x1
Na (0.2878, 0.7620, 0.0033) x1
Na (0.5084, 0.0084, 0.5103) x1
Na (0.7611, 0.2558, 0.9957) x1
Na (0.7674, 0.7536, 0.5125) x1
Mn (0.3735, 0.1232, 0.1009) x1
Mn (0.4064, 0.6481, 0.3978) x1
Mn (0.8621, 0.6165, 0.0979) x1
Mn (0.9046, 0.1501, 0.3985) x1
P (0.1180, 0.8633, 0.3285) x1
P (0.1606, 0.4064, 0.1704) x1
P (0.6226, 0.3643, 0.3305) x1
P (0.6628, 0.9091, 0.1719) x1
C (0.3749, 0.6209, 0.6781) x1
C (0.3992, 0.1432, 0.8231) x1
C (0.8837, 0.1267, 0.6813) x1
C (0.9022, 0.6410, 0.8235) x1
O (0.9995, 0.7415, 0.9191) x1
O (0.0350, 0.4618, 0.0701) x1
O (0.0592, 0.9921, 0.4194) x1
O (0.0921, 0.3397, 0.3239) x1
O (0.1864, 0.9323, 0.1753) x1
O (0.2144, 0.2767, 0.0774) x1
O (0.2485, 0.8070, 0.4221) x1
O (0.2752, 0.5153, 0.5874) x1
O (0.2842, 0.0378, 0.8976) x1
O (0.3086, 0.5583, 0.2065) x1
O (0.3635, 0.6197, 0.8172) x1
O (0.3987, 0.1455, 0.6822) x1
O (0.4690, 0.2151, 0.2978) x1
O (0.4869, 0.7285, 0.6045) x1
O (0.5030, 0.2406, 0.9123) x1
O (0.5309, 0.9645, 0.0818) x1
O (0.5660, 0.4937, 0.4207) x1
O (0.5991, 0.8393, 0.3269) x1
O (0.6951, 0.4277, 0.1781) x1
O (0.7339, 0.7946, 0.0786) x1
O (0.7483, 0.3032, 0.4273) x1
O (0.7786, 0.0221, 0.5997) x1
O (0.7905, 0.5299, 0.8911) x1
O (0.8106, 0.0666, 0.2057) x1
O (0.8917, 0.1369, 0.8230) x1
O (0.9143, 0.6475, 0.6835) x1
O (0.9675, 0.7116, 0.2958) x1
O (0.9937, 0.2334, 0.6029) x1